Entry 1:
The following is a theoretical powder XRD pattern of ZrMnAl11. It was derived from the PBE geometry in Alexandria, using Cu Kα (weighted mean of Kα1 and Kα2).
Neutral-atom scattering factors, no anomalous dispersion.

Peak list (10 most intense, 10° ≤ 2θ ≤ 90°, in order of falling intensity)
2.262 Å, rel. 100.0
2.213 Å, rel. 69.8
2.244 Å, rel. 47.1
2.616 Å, rel. 39.5
6.268 Å, rel. 33.1
4.424 Å, rel. 25.9
2.308 Å, rel. 23.6
3.132 Å, rel. 21.2
3.241 Å, rel. 20.8
2.579 Å, rel. 19.8

Crystal structure
a b c (Å): 6.7712 6.7712 6.9548
angles (deg): 97.51 97.51 135.56
Sites, in units of the cell vectors:
Zr 0.0000 0.0000 0.0000
Mn 0.5000 0.5000 0.5000
Al 0.0000 0.0000 0.5000
Al 0.0000 0.5000 0.0000
Al 0.0241 0.3645 0.3595
Al 0.2924 0.5014 0.7800
Al 0.3645 0.0241 0.3595
Al 0.4986 0.7076 0.2200
Al 0.5000 0.0000 0.0000
Al 0.5014 0.2924 0.7800
Al 0.6355 0.9759 0.6405
Al 0.7076 0.4986 0.2200
Al 0.9759 0.6355 0.6405


Entry 2:
The following is a theoretical powder XRD pattern of CsTb3F10. It was derived from the PBE geometry in Alexandria, using Cu Kα (weighted mean of Kα1 and Kα2).
Neutral-atom scattering factors, no anomalous dispersion.

Peak list (10 most intense, 10° ≤ 2θ ≤ 90°, in order of falling intensity)
3.423 Å, rel. 100.0
1.788 Å, rel. 55.1
2.096 Å, rel. 46.4
2.964 Å, rel. 42.2
1.360 Å, rel. 19.4
1.210 Å, rel. 16.0
1.326 Å, rel. 14.6
1.711 Å, rel. 13.6
1.141 Å, rel. 13.1
1.482 Å, rel. 8.0

Crystal structure
a b c (Å): 8.3846 8.3846 8.3846
angles (deg): 60.00 60.00 60.00
Sites, in units of the cell vectors:
Cs 0.2500 0.2500 0.2500
Cs 0.7500 0.7500 0.7500
Tb 0.2403 0.2403 0.7597
Tb 0.2403 0.7597 0.2403
Tb 0.2403 0.7597 0.7597
Tb 0.7597 0.2403 0.2403
Tb 0.7597 0.2403 0.7597
Tb 0.7597 0.7597 0.2403
F 0.1088 0.1088 0.1088
F 0.1088 0.1088 0.6736
F 0.1088 0.6736 0.1088
F 0.1731 0.5000 0.5000
F 0.1731 0.5000 0.8269
F 0.1731 0.8269 0.5000
F 0.3264 0.8912 0.8912
F 0.5000 0.1731 0.5000
F 0.5000 0.1731 0.8269
F 0.5000 0.5000 0.1731
F 0.5000 0.5000 0.8269
F 0.5000 0.8269 0.1731
F 0.5000 0.8269 0.5000
F 0.6736 0.1088 0.1088
F 0.8269 0.1731 0.5000
F 0.8269 0.5000 0.1731
F 0.8269 0.5000 0.5000
F 0.8912 0.3264 0.8912
F 0.8912 0.8912 0.3264
F 0.8912 0.8912 0.8912